For Ca6Mg23, a structure optimized by DFT (GGA-PBE) gives the simulated X-ray powder pattern in this record (λ = 1.5418 Å (Cu Kα)).
Kinematic intensities with the Lorentz-polarization factor, no thermal factor.

Top 6 peaks for 2θ from 5° to 70°, sorted by position:
2θ (°)	I (rel.)
30.04	230
31.91	716
34.82	1000
36.47	154
53.34	182
63.52	173

Atomic structure:
Cell: 10.305 10.305 10.305 Å, 60.00 60.00 60.00°
Fractional positions:
Ca 0.205 0.205 0.795
Ca 0.205 0.795 0.205
Ca 0.205 0.795 0.795
Ca 0.795 0.205 0.205
Ca 0.795 0.205 0.795
Ca 0.795 0.795 0.205
Mg 0.000 0.000 0.500
Mg 0.000 0.500 0.000
Mg 0.000 0.500 0.500
Mg 0.137 0.621 0.621
Mg 0.171 0.171 0.171
Mg 0.171 0.171 0.486
Mg 0.171 0.486 0.171
Mg 0.379 0.379 0.379
Mg 0.379 0.379 0.863
Mg 0.379 0.863 0.379
Mg 0.486 0.171 0.171
Mg 0.500 0.000 0.000
Mg 0.500 0.000 0.500
Mg 0.500 0.500 0.000
Mg 0.500 0.500 0.500
Mg 0.514 0.829 0.829
Mg 0.621 0.137 0.621
Mg 0.621 0.621 0.137
Mg 0.621 0.621 0.621
Mg 0.829 0.514 0.829
Mg 0.829 0.829 0.514
Mg 0.829 0.829 0.829
Mg 0.863 0.379 0.379



For Ca2Mg17, a structure optimized by DFT (GGA-PBE) gives the simulated X-ray powder pattern in this record (λ = 1.5418 Å (Cu Kα)).
Kinematic intensities with the Lorentz-polarization factor, no thermal factor.

Top 6 peaks for 2θ from 5° to 70°, sorted by position:
2θ (°)	I (rel.)
29.72	371
34.45	581
34.64	1000
35.20	441
38.84	473
61.72	267

Atomic structure:
Cell: 7.885 7.885 7.885 Å, 82.64 82.64 82.64°
Fractional positions:
Ca 0.165 0.165 0.165
Ca 0.835 0.835 0.835
Mg 0.000 0.500 0.500
Mg 0.150 0.150 0.657
Mg 0.150 0.657 0.150
Mg 0.199 0.500 0.801
Mg 0.199 0.801 0.500
Mg 0.343 0.850 0.850
Mg 0.400 0.400 0.400
Mg 0.500 0.000 0.500
Mg 0.500 0.199 0.801
Mg 0.500 0.500 0.000
Mg 0.500 0.801 0.199
Mg 0.600 0.600 0.600
Mg 0.657 0.150 0.150
Mg 0.801 0.199 0.500
Mg 0.801 0.500 0.199
Mg 0.850 0.343 0.850
Mg 0.850 0.850 0.343



For Ca5Mg4, a structure optimized by DFT (GGA-PBE) gives the simulated X-ray powder pattern in this record (λ = 1.5418 Å (Cu Kα)).
Kinematic intensities with the Lorentz-polarization factor, no thermal factor.

Top 6 peaks for 2θ from 5° to 70°, sorted by position:
2θ (°)	I (rel.)
30.68	1000
34.31	186
36.19	305
50.72	215
59.20	133
61.69	212

Atomic structure:
Cell: 7.892 7.892 7.892 Å, 96.30 96.30 141.32°
Fractional positions:
Ca 0.000 0.000 0.000
Ca 0.328 0.328 0.655
Ca 0.328 0.672 0.000
Ca 0.672 0.328 0.000
Ca 0.672 0.672 0.345
Mg 0.000 0.350 0.350
Mg 0.000 0.650 0.650
Mg 0.350 0.000 0.350
Mg 0.650 0.000 0.650



For Ca3Mg2, a structure optimized by DFT (GGA-PBE) gives the simulated X-ray powder pattern in this record (λ = 1.5418 Å (Cu Kα)).
Kinematic intensities with the Lorentz-polarization factor, no thermal factor.

Top 6 peaks for 2θ from 5° to 70°, sorted by position:
2θ (°)	I (rel.)
28.16	131
28.67	439
30.39	1000
31.56	547
41.73	159
53.25	221

Atomic structure:
Cell: 8.963 8.963 4.329 Å, 90.00 90.00 90.00°
Fractional positions:
Ca 0.000 0.000 0.000
Ca 0.168 0.332 0.500
Ca 0.332 0.832 0.500
Ca 0.500 0.500 0.000
Ca 0.668 0.168 0.500
Ca 0.832 0.668 0.500
Mg 0.125 0.625 0.000
Mg 0.375 0.125 0.000
Mg 0.625 0.875 0.000
Mg 0.875 0.375 0.000



For CaMg15, a structure optimized by DFT (GGA-PBE) gives the simulated X-ray powder pattern in this record (λ = 1.5418 Å (Cu Kα)).
Kinematic intensities with the Lorentz-polarization factor, no thermal factor.

Top 6 peaks for 2θ from 5° to 70°, sorted by position:
2θ (°)	I (rel.)
31.78	242
34.15	259
36.20	1000
56.61	172
62.47	181
67.80	189

Atomic structure:
Cell: 6.503 6.503 10.503 Å, 90.00 90.00 120.00°
Fractional positions:
Ca 0.000 0.000 0.000
Mg 0.000 0.000 0.500
Mg 0.005 0.503 0.500
Mg 0.333 0.667 0.241
Mg 0.333 0.667 0.759
Mg 0.337 0.168 0.257
Mg 0.337 0.168 0.743
Mg 0.497 0.503 0.500
Mg 0.497 0.995 0.500
Mg 0.505 0.009 0.000
Mg 0.505 0.495 0.000
Mg 0.832 0.168 0.257
Mg 0.832 0.168 0.743
Mg 0.832 0.663 0.257
Mg 0.832 0.663 0.743
Mg 0.991 0.495 0.000



For Ca3Mg5, a structure optimized by DFT (GGA-PBE) gives the simulated X-ray powder pattern in this record (λ = 1.5418 Å (Cu Kα)).
Kinematic intensities with the Lorentz-polarization factor, no thermal factor.

Top 6 peaks for 2θ from 5° to 70°, sorted by position:
2θ (°)	I (rel.)
16.11	27
22.87	50
32.56	1000
46.71	171
58.09	340
68.20	101

Atomic structure:
Cell: 6.736 6.736 6.736 Å, 109.47 109.47 109.47°
Fractional positions:
Ca 0.000 0.500 0.500
Ca 0.500 0.000 0.500
Ca 0.500 0.500 0.000
Mg 0.000 0.000 0.000
Mg 0.000 0.000 0.500
Mg 0.000 0.500 0.000
Mg 0.500 0.000 0.000
Mg 0.500 0.500 0.500



For Ca6Mg5, a structure optimized by DFT (GGA-PBE) gives the simulated X-ray powder pattern in this record (λ = 1.5418 Å (Cu Kα)).
Kinematic intensities with the Lorentz-polarization factor, no thermal factor.

Top 6 peaks for 2θ from 5° to 70°, sorted by position:
2θ (°)	I (rel.)
31.67	265
32.05	245
32.18	1000
45.68	170
56.74	175
57.21	156

Atomic structure:
Cell: 8.841 8.841 7.793 Å, 90.00 90.00 142.73°
Fractional positions:
Ca 0.000 0.000 0.244
Ca 0.000 0.000 0.756
Ca 0.339 0.661 0.248
Ca 0.339 0.661 0.752
Ca 0.661 0.339 0.248
Ca 0.661 0.339 0.752
Mg 0.168 0.832 0.500
Mg 0.178 0.822 0.000
Mg 0.500 0.500 0.500
Mg 0.822 0.178 0.000
Mg 0.832 0.168 0.500



For CaMg5, a structure optimized by DFT (GGA-PBE) gives the simulated X-ray powder pattern in this record (λ = 1.5418 Å (Cu Kα)).
Kinematic intensities with the Lorentz-polarization factor, no thermal factor.

Top 6 peaks for 2θ from 5° to 70°, sorted by position:
2θ (°)	I (rel.)
30.80	255
33.66	232
35.21	1000
54.78	179
65.85	177
66.81	151

Atomic structure:
Cell: 3.352 3.352 15.975 Å, 90.00 90.00 120.00°
Fractional positions:
Ca 0.000 0.000 0.000
Mg 0.000 0.000 0.341
Mg 0.000 0.000 0.659
Mg 0.667 0.333 0.180
Mg 0.667 0.333 0.500
Mg 0.667 0.333 0.820